# 1
Diffraction record for Dy3Ag2Au. The PXRD pattern is simulated, not measured: it uses DFT lattice parameters and positions (GGA-PBE) and Cu Kα (weighted mean of Kα1 and Kα2).

Largest 10 diffraction maxima, by angle, 2θ from 5° to 70°:
2θ 8.1, d 10.939, rel. 6; 2θ 16.2, d 5.470, rel. 2; 2θ 26.0, d 3.427, rel. 1; 2θ 35.0, d 2.565, rel. 100; 2θ 35.2, d 2.552, rel. 49; 2θ 41.4, d 2.180, rel. 1; 2θ 50.0, d 1.823, rel. 9; 2θ 50.6, d 1.805, rel. 18; 2θ 62.6, d 1.484, rel. 18; 2θ 63.0, d 1.476, rel. 36

Structural model:
```
data_Dy3Ag2Au
_chemical_formula_sum 'Dy3 Ag2 Au1'
_space_group_name_H-M_alt 'P 1'
_space_group_IT_number 1
_cell_length_a 3.609
_cell_length_b 3.609
_cell_length_c 10.939
_cell_angle_alpha 90.00
_cell_angle_beta 90.00
_cell_angle_gamma 90.00
loop_
_space_group_symop_operation_xyz
'x,y,z'
loop_
_atom_site_label
_atom_site_fract_x
_atom_site_fract_y
_atom_site_fract_z
Dy1 0.000 0.000 0.000
Dy2 0.000 0.000 0.338
Dy3 0.000 0.000 0.662
Ag1 0.500 0.500 0.166
Ag2 0.500 0.500 0.834
Au1 0.500 0.500 0.500
```


# 2
Diffraction record for Dy5Ag2Au2. The PXRD pattern is simulated, not measured: it uses DFT lattice parameters and positions (GGA-PBE) and Cu Kα (weighted mean of Kα1 and Kα2).

Largest 10 diffraction maxima, by angle, 2θ from 5° to 70°:
2θ 10.7, d 8.230, rel. 34; 2θ 29.0, d 3.076, rel. 36; 2θ 31.1, d 2.871, rel. 100; 2θ 32.1, d 2.789, rel. 45; 2θ 32.6, d 2.745, rel. 69; 2θ 33.9, d 2.643, rel. 31; 2θ 34.7, d 2.582, rel. 86; 2θ 38.1, d 2.364, rel. 49; 2θ 38.2, d 2.355, rel. 25; 2θ 38.9, d 2.316, rel. 42

Structural model:
```
data_Dy5Ag2Au2
_chemical_formula_sum 'Dy10 Ag4 Au4'
_space_group_name_H-M_alt 'P 1'
_space_group_IT_number 1
_cell_length_a 9.019
_cell_length_b 9.019
_cell_length_c 7.576
_cell_angle_alpha 90.00
_cell_angle_beta 90.00
_cell_angle_gamma 48.29
loop_
_space_group_symop_operation_xyz
'x,y,z'
loop_
_atom_site_label
_atom_site_fract_x
_atom_site_fract_y
_atom_site_fract_z
Dy1 0.000 0.000 0.000
Dy2 0.036 0.687 0.674
Dy3 0.187 0.536 0.174
Dy4 0.313 0.964 0.674
Dy5 0.464 0.813 0.174
Dy6 0.500 0.500 0.500
Dy7 0.536 0.187 0.826
Dy8 0.687 0.036 0.326
Dy9 0.813 0.464 0.826
Dy10 0.964 0.313 0.326
Ag1 0.213 0.213 0.000
Ag2 0.287 0.287 0.500
Ag3 0.713 0.713 0.500
Ag4 0.787 0.787 0.000
Au1 0.130 0.870 0.364
Au2 0.370 0.630 0.864
Au3 0.630 0.370 0.136
Au4 0.870 0.130 0.636
```


# 3
Diffraction record for Dy4GaAgAu2. The PXRD pattern is simulated, not measured: it uses DFT lattice parameters and positions (GGA-PBE) and Cu Kα (weighted mean of Kα1 and Kα2).

Largest 9 diffraction maxima, by angle, 2θ from 5° to 70°:
2θ 21.3, d 4.164, rel. 7; 2θ 35.2, d 2.550, rel. 100; 2θ 41.5, d 2.175, rel. 4; 2θ 50.6, d 1.803, rel. 18; 2θ 55.5, d 1.656, rel. 1; 2θ 55.6, d 1.654, rel. 1; 2θ 63.1, d 1.473, rel. 27; 2θ 63.2, d 1.471, rel. 9; 2θ 67.5, d 1.388, rel. 1

Structural model:
```
data_Dy4GaAgAu2
_chemical_formula_sum 'Dy4 Ga1 Ag1 Au2'
_space_group_name_H-M_alt 'P 1'
_space_group_IT_number 1
_cell_length_a 8.844
_cell_length_b 8.844
_cell_length_c 8.844
_cell_angle_alpha 33.49
_cell_angle_beta 33.49
_cell_angle_gamma 33.49
loop_
_space_group_symop_operation_xyz
'x,y,z'
loop_
_atom_site_label
_atom_site_fract_x
_atom_site_fract_y
_atom_site_fract_z
Dy1 0.124 0.124 0.124
Dy2 0.374 0.374 0.374
Dy3 0.626 0.626 0.626
Dy4 0.876 0.876 0.876
Ga1 0.000 0.000 0.000
Ag1 0.500 0.500 0.500
Au1 0.250 0.250 0.250
Au2 0.750 0.750 0.750
```


# 4
Diffraction record for DyAgHgAu. The PXRD pattern is simulated, not measured: it uses DFT lattice parameters and positions (GGA-PBE) and Cu Kα (weighted mean of Kα1 and Kα2).

Largest 10 diffraction maxima, by angle, 2θ from 5° to 70°:
2θ 22.1, d 4.014, rel. 2; 2θ 22.6, d 3.937, rel. 3; 2θ 27.0, d 3.299, rel. 3; 2θ 35.5, d 2.529, rel. 100; 2θ 38.6, d 2.333, rel. 40; 2θ 45.2, d 2.007, rel. 2; 2θ 46.1, d 1.968, rel. 12; 2θ 55.7, d 1.650, rel. 14; 2θ 61.7, d 1.504, rel. 20; 2θ 67.8, d 1.382, rel. 30

Structural model:
```
data_DyAgHgAu
_chemical_formula_sum 'Dy1 Ag1 Hg1 Au1'
_space_group_name_H-M_alt 'P 1'
_space_group_IT_number 1
_cell_length_a 5.136
_cell_length_b 5.136
_cell_length_c 5.136
_cell_angle_alpha 125.98
_cell_angle_beta 125.98
_cell_angle_gamma 79.93
loop_
_space_group_symop_operation_xyz
'x,y,z'
loop_
_atom_site_label
_atom_site_fract_x
_atom_site_fract_y
_atom_site_fract_z
Dy1 0.000 0.000 0.000
Ag1 0.500 0.500 0.000
Hg1 0.250 0.750 0.500
Au1 0.750 0.250 0.500
```


# 5
Diffraction record for LiDyAgAu. The PXRD pattern is simulated, not measured: it uses DFT lattice parameters and positions (GGA-PBE) and Cu Kα (weighted mean of Kα1 and Kα2).

Largest 10 diffraction maxima, by angle, 2θ from 5° to 70°:
2θ 23.2, d 3.838, rel. 77; 2θ 26.0, d 3.433, rel. 22; 2θ 35.1, d 2.558, rel. 100; 2θ 38.9, d 2.315, rel. 96; 2θ 40.7, d 2.219, rel. 19; 2θ 40.8, d 2.213, rel. 36; 2θ 53.4, d 1.715, rel. 22; 2θ 57.6, d 1.601, rel. 13; 2θ 61.6, d 1.506, rel. 11; 2θ 68.0, d 1.378, rel. 20

Structural model:
```
data_LiDyAgAu
_chemical_formula_sum 'Li1 Dy1 Ag1 Au1'
_space_group_name_H-M_alt 'P 1'
_space_group_IT_number 1
_cell_length_a 4.632
_cell_length_b 4.632
_cell_length_c 5.166
_cell_angle_alpha 116.49
_cell_angle_beta 116.49
_cell_angle_gamma 59.90
loop_
_space_group_symop_operation_xyz
'x,y,z'
loop_
_atom_site_label
_atom_site_fract_x
_atom_site_fract_y
_atom_site_fract_z
Li1 0.000 0.000 0.000
Dy1 0.494 0.494 0.483
Ag1 0.270 0.270 0.808
Au1 0.720 0.720 0.160
```


# 6
Diffraction record for DyLuAgAu. The PXRD pattern is simulated, not measured: it uses DFT lattice parameters and positions (GGA-PBE) and Cu Kα (weighted mean of Kα1 and Kα2).

Largest 7 diffraction maxima, by angle, 2θ from 5° to 70°:
2θ 21.5, d 4.132, rel. 4; 2θ 35.5, d 2.530, rel. 100; 2θ 41.9, d 2.158, rel. 2; 2θ 51.0, d 1.789, rel. 18; 2θ 56.0, d 1.642, rel. 1; 2θ 63.7, d 1.461, rel. 36; 2θ 68.1, d 1.377, rel. 1

Structural model:
```
data_DyLuAgAu
_chemical_formula_sum 'Dy1 Lu1 Ag1 Au1'
_space_group_name_H-M_alt 'P 1'
_space_group_IT_number 1
_cell_length_a 5.061
_cell_length_b 5.061
_cell_length_c 5.061
_cell_angle_alpha 60.00
_cell_angle_beta 60.00
_cell_angle_gamma 60.00
loop_
_space_group_symop_operation_xyz
'x,y,z'
loop_
_atom_site_label
_atom_site_fract_x
_atom_site_fract_y
_atom_site_fract_z
Dy1 0.000 0.000 0.000
Lu1 0.500 0.500 0.500
Ag1 0.750 0.750 0.750
Au1 0.250 0.250 0.250
```


# 7
Diffraction record for Dy4AgPdAu2. The PXRD pattern is simulated, not measured: it uses DFT lattice parameters and positions (GGA-PBE) and Cu Kα (weighted mean of Kα1 and Kα2).

Largest 10 diffraction maxima, by angle, 2θ from 5° to 70°:
2θ 21.5, d 4.138, rel. 4; 2θ 32.5, d 2.758, rel. 1; 2θ 35.4, d 2.534, rel. 100; 2θ 41.8, d 2.161, rel. 2; 2θ 48.8, d 1.866, rel. 1; 2θ 51.0, d 1.792, rel. 18; 2θ 55.9, d 1.644, rel. 1; 2θ 63.6, d 1.463, rel. 36; 2θ 67.6, d 1.386, rel. 1; 2θ 68.0, d 1.379, rel. 1

Structural model:
```
data_Dy4AgPdAu2
_chemical_formula_sum 'Dy4 Ag1 Pd1 Au2'
_space_group_name_H-M_alt 'P 1'
_space_group_IT_number 1
_cell_length_a 8.776
_cell_length_b 8.776
_cell_length_c 8.776
_cell_angle_alpha 33.58
_cell_angle_beta 33.58
_cell_angle_gamma 33.58
loop_
_space_group_symop_operation_xyz
'x,y,z'
loop_
_atom_site_label
_atom_site_fract_x
_atom_site_fract_y
_atom_site_fract_z
Dy1 0.122 0.122 0.122
Dy2 0.372 0.372 0.372
Dy3 0.628 0.628 0.628
Dy4 0.878 0.878 0.878
Ag1 0.500 0.500 0.500
Pd1 0.000 0.000 0.000
Au1 0.246 0.246 0.246
Au2 0.754 0.754 0.754
```


# 8
Diffraction record for Er11Ag9Au4. The PXRD pattern is simulated, not measured: it uses DFT lattice parameters and positions (GGA-PBE) and Cu Kα (weighted mean of Kα1 and Kα2).

Largest 10 diffraction maxima, by angle, 2θ from 5° to 70°:
2θ 33.6, d 2.667, rel. 6; 2θ 35.3, d 2.545, rel. 50; 2θ 35.4, d 2.533, rel. 100; 2θ 37.6, d 2.391, rel. 8; 2θ 50.6, d 1.802, rel. 12; 2θ 50.8, d 1.797, rel. 7; 2θ 51.2, d 1.783, rel. 7; 2θ 63.3, d 1.468, rel. 19; 2θ 63.4, d 1.466, rel. 11; 2θ 63.7, d 1.460, rel. 13

Structural model:
```
data_Er11Ag9Au4
_chemical_formula_sum 'Er11 Ag9 Au4'
_space_group_name_H-M_alt 'P 1'
_space_group_IT_number 1
_cell_length_a 12.928
_cell_length_b 12.928
_cell_length_c 3.605
_cell_angle_alpha 90.00
_cell_angle_beta 90.00
_cell_angle_gamma 113.05
loop_
_space_group_symop_operation_xyz
'x,y,z'
loop_
_atom_site_label
_atom_site_fract_x
_atom_site_fract_y
_atom_site_fract_z
Er1 0.000 0.000 0.000
Er2 0.071 0.413 0.000
Er3 0.168 0.832 0.000
Er4 0.273 0.273 0.000
Er5 0.354 0.646 0.000
Er6 0.413 0.071 0.000
Er7 0.587 0.929 0.000
Er8 0.646 0.354 0.000
Er9 0.727 0.727 0.000
Er10 0.832 0.168 0.000
Er11 0.929 0.587 0.000
Ag1 0.051 0.207 0.500
Ag2 0.146 0.631 0.500
Ag3 0.207 0.051 0.500
Ag4 0.369 0.854 0.500
Ag5 0.500 0.500 0.500
Ag6 0.631 0.146 0.500
Ag7 0.793 0.949 0.500
Ag8 0.854 0.369 0.500
Ag9 0.949 0.793 0.500
Au1 0.257 0.449 0.500
Au2 0.449 0.257 0.500
Au3 0.551 0.743 0.500
Au4 0.743 0.551 0.500
```


# 9
Diffraction record for ErAgAu5. The PXRD pattern is simulated, not measured: it uses DFT lattice parameters and positions (GGA-PBE) and Cu Kα (weighted mean of Kα1 and Kα2).

Largest 10 diffraction maxima, by angle, 2θ from 5° to 70°:
2θ 20.9, d 4.244, rel. 17; 2θ 34.2, d 2.619, rel. 58; 2θ 36.2, d 2.481, rel. 56; 2θ 37.6, d 2.392, rel. 100; 2θ 43.4, d 2.084, rel. 37; 2θ 43.6, d 2.076, rel. 39; 2θ 50.5, d 1.806, rel. 19; 2θ 50.8, d 1.796, rel. 17; 2θ 66.0, d 1.415, rel. 18; 2θ 66.3, d 1.409, rel. 12

Structural model:
```
data_ErAgAu5
_chemical_formula_sum 'Er2 Ag2 Au10'
_space_group_name_H-M_alt 'P 1'
_space_group_IT_number 1
_cell_length_a 6.344
_cell_length_b 6.344
_cell_length_c 7.405
_cell_angle_alpha 102.99
_cell_angle_beta 102.99
_cell_angle_gamma 80.44
loop_
_space_group_symop_operation_xyz
'x,y,z'
loop_
_atom_site_label
_atom_site_fract_x
_atom_site_fract_y
_atom_site_fract_z
Er1 0.000 0.500 0.000
Er2 0.500 0.000 0.500
Ag1 0.228 0.772 0.750
Ag2 0.772 0.228 0.250
Au1 0.003 0.189 0.641
Au2 0.189 0.003 0.141
Au3 0.197 0.388 0.430
Au4 0.388 0.197 0.930
Au5 0.429 0.571 0.250
Au6 0.571 0.429 0.750
Au7 0.612 0.803 0.070
Au8 0.803 0.612 0.570
Au9 0.811 0.997 0.859
Au10 0.997 0.811 0.359
```


# 10
Diffraction record for Er5AgAu4. The PXRD pattern is simulated, not measured: it uses DFT lattice parameters and positions (GGA-PBE) and Cu Kα (weighted mean of Kα1 and Kα2).

Largest 8 diffraction maxima, by angle, 2θ from 5° to 70°:
2θ 9.8, d 9.060, rel. 1; 2θ 14.7, d 6.040, rel. 1; 2θ 35.4, d 2.535, rel. 100; 2θ 35.8, d 2.509, rel. 49; 2θ 50.4, d 1.812, rel. 9; 2θ 51.5, d 1.774, rel. 17; 2θ 63.3, d 1.469, rel. 19; 2θ 64.1, d 1.453, rel. 36

Structural model:
```
data_Er5AgAu4
_chemical_formula_sum 'Er5 Ag1 Au4'
_space_group_name_H-M_alt 'P 1'
_space_group_IT_number 1
_cell_length_a 3.548
_cell_length_b 3.548
_cell_length_c 18.119
_cell_angle_alpha 90.00
_cell_angle_beta 90.00
_cell_angle_gamma 90.00
loop_
_space_group_symop_operation_xyz
'x,y,z'
loop_
_atom_site_label
_atom_site_fract_x
_atom_site_fract_y
_atom_site_fract_z
Er1 0.000 0.000 0.000
Er2 0.000 0.000 0.199
Er3 0.000 0.000 0.397
Er4 0.000 0.000 0.603
Er5 0.000 0.000 0.801
Ag1 0.500 0.500 0.500
Au1 0.500 0.500 0.100
Au2 0.500 0.500 0.300
Au3 0.500 0.500 0.700
Au4 0.500 0.500 0.900
```


# 11
Diffraction record for Ag3AuF6. The PXRD pattern is simulated, not measured: it uses DFT lattice parameters and positions (GGA-PBE) and Cu Kα (weighted mean of Kα1 and Kα2).

Largest 10 diffraction maxima, by angle, 2θ from 5° to 70°:
2θ 20.7, d 4.301, rel. 19; 2θ 27.3, d 3.263, rel. 100; 2θ 29.2, d 3.060, rel. 30; 2θ 29.5, d 3.027, rel. 46; 2θ 31.3, d 2.854, rel. 74; 2θ 32.9, d 2.722, rel. 16; 2θ 42.0, d 2.152, rel. 28; 2θ 42.1, d 2.145, rel. 20; 2θ 48.4, d 1.879, rel. 21; 2θ 52.1, d 1.756, rel. 17

Structural model:
```
data_Ag3AuF6
_chemical_formula_sum 'Ag6 Au2 F12'
_space_group_name_H-M_alt 'P 1'
_space_group_IT_number 1
_cell_length_a 6.164
_cell_length_b 6.119
_cell_length_c 9.699
_cell_angle_alpha 90.00
_cell_angle_beta 117.81
_cell_angle_gamma 90.00
loop_
_space_group_symop_operation_xyz
'x,y,z'
loop_
_atom_site_label
_atom_site_fract_x
_atom_site_fract_y
_atom_site_fract_z
Ag1 0.000 0.000 0.000
Ag2 0.000 0.500 0.500
Ag3 0.196 0.079 0.735
Ag4 0.196 0.421 0.235
Ag5 0.804 0.579 0.765
Ag6 0.804 0.921 0.265
Au1 0.500 0.000 0.500
Au2 0.500 0.500 0.000
F1 0.058 0.204 0.400
F2 0.058 0.296 0.900
F3 0.312 0.717 0.444
F4 0.312 0.783 0.944
F5 0.405 0.063 0.275
F6 0.405 0.437 0.775
F7 0.595 0.563 0.225
F8 0.595 0.937 0.725
F9 0.688 0.217 0.056
F10 0.688 0.283 0.556
F11 0.942 0.704 0.100
F12 0.942 0.796 0.600
```


# 12
Diffraction record for Ag2Au3F8. The PXRD pattern is simulated, not measured: it uses DFT lattice parameters and positions (GGA-PBE) and Cu Kα (weighted mean of Kα1 and Kα2).

Largest 10 diffraction maxima, by angle, 2θ from 5° to 70°:
2θ 14.5, d 6.104, rel. 67; 2θ 17.3, d 5.140, rel. 44; 2θ 23.4, d 3.797, rel. 36; 2θ 23.7, d 3.750, rel. 93; 2θ 26.1, d 3.413, rel. 100; 2θ 29.1, d 3.066, rel. 97; 2θ 37.8, d 2.382, rel. 56; 2θ 46.5, d 1.953, rel. 35; 2θ 47.9, d 1.899, rel. 29; 2θ 48.4, d 1.880, rel. 31

Structural model:
```
data_Ag2Au3F8
_chemical_formula_sum 'Ag4 Au6 F16'
_space_group_name_H-M_alt 'P 1'
_space_group_IT_number 1
_cell_length_a 3.825
_cell_length_b 9.527
_cell_length_c 12.297
_cell_angle_alpha 90.00
_cell_angle_beta 96.89
_cell_angle_gamma 90.00
loop_
_space_group_symop_operation_xyz
'x,y,z'
loop_
_atom_site_label
_atom_site_fract_x
_atom_site_fract_y
_atom_site_fract_z
Ag1 0.019 0.026 0.284
Ag2 0.019 0.474 0.784
Ag3 0.981 0.526 0.216
Ag4 0.981 0.974 0.716
Au1 0.484 0.233 0.548
Au2 0.484 0.267 0.048
Au3 0.500 0.000 0.000
Au4 0.500 0.500 0.500
Au5 0.516 0.733 0.952
Au6 0.516 0.767 0.452
F1 0.090 0.214 0.427
F2 0.090 0.286 0.927
F3 0.122 0.740 0.330
F4 0.122 0.760 0.830
F5 0.439 0.021 0.616
F6 0.439 0.479 0.116
F7 0.473 0.526 0.659
F8 0.473 0.974 0.159
F9 0.527 0.026 0.841
F10 0.527 0.474 0.341
F11 0.561 0.521 0.884
F12 0.561 0.979 0.384
F13 0.878 0.240 0.170
F14 0.878 0.260 0.670
F15 0.910 0.714 0.073
F16 0.910 0.786 0.573
```


What did the tenth record say?
Diffraction record for Er5AgAu4. The PXRD pattern is simulated, not measured: it uses DFT lattice parameters and positions (GGA-PBE) and Cu Kα (weighted mean of Kα1 and Kα2).

Largest 8 diffraction maxima, by angle, 2θ from 5° to 70°:
2θ 9.8, d 9.060, rel. 1; 2θ 14.7, d 6.040, rel. 1; 2θ 35.4, d 2.535, rel. 100; 2θ 35.8, d 2.509, rel. 49; 2θ 50.4, d 1.812, rel. 9; 2θ 51.5, d 1.774, rel. 17; 2θ 63.3, d 1.469, rel. 19; 2θ 64.1, d 1.453, rel. 36

Structural model:
```
data_Er5AgAu4
_chemical_formula_sum 'Er5 Ag1 Au4'
_space_group_name_H-M_alt 'P 1'
_space_group_IT_number 1
_cell_length_a 3.548
_cell_length_b 3.548
_cell_length_c 18.119
_cell_angle_alpha 90.00
_cell_angle_beta 90.00
_cell_angle_gamma 90.00
loop_
_space_group_symop_operation_xyz
'x,y,z'
loop_
_atom_site_label
_atom_site_fract_x
_atom_site_fract_y
_atom_site_fract_z
Er1 0.000 0.000 0.000
Er2 0.000 0.000 0.199
Er3 0.000 0.000 0.397
Er4 0.000 0.000 0.603
Er5 0.000 0.000 0.801
Ag1 0.500 0.500 0.500
Au1 0.500 0.500 0.100
Au2 0.500 0.500 0.300
Au3 0.500 0.500 0.700
Au4 0.500 0.500 0.900
```